Entry 1:
This entry pairs a crystal structure of KV4O10 with its simulated powder XRD pattern. Radiation: Cu Kα (weighted mean of Kα1 and Kα2). Structure: a cell relaxed with GGA+U.

```
data_KV4O10
_cell_length_a 3.7126
_cell_length_b 11.7604
_cell_length_c 19.3078
_cell_angle_alpha 90.00
_cell_angle_beta 90.00
_cell_angle_gamma 90.00
_space_group_name_H-M_alt 'C m c m'
_space_group_IT_number 63
_space_group_name_Hall '-C 2c 2'
loop_
_atom_site_label
_atom_site_type_symbol
_atom_site_fract_x
_atom_site_fract_y
_atom_site_fract_z
K1 K 0.0000 0.0803 0.2500
V1 V 0.0000 0.2688 0.5803
V2 V 0.0000 0.4353 0.0788
O1 O 0.0000 0.1009 0.5656
O2 O 0.0000 0.2604 0.0584
O3 O 0.0000 0.2894 0.6638
O4 O 0.0000 0.4206 0.5478
O5 O 0.0000 0.4525 0.1628
```

Most intense lines, 2θ from 10° to 80°, by intensity:
2θ (°), d (Å), intensity
33.5, 2.672, 100
27.7, 3.218, 63
20.5, 4.341, 51
25.2, 3.540, 42
26.8, 3.324, 36
49.1, 1.856, 35
28.8, 3.102, 30
31.3, 2.855, 27
57.3, 1.608, 23
46.3, 1.960, 22
37.3, 2.413, 22
63.2, 1.471, 18



Entry 2:
This entry pairs a crystal structure of KV6O11 with its simulated powder XRD pattern. Radiation: Cu Kα (weighted mean of Kα1 and Kα2). Structure: a cell relaxed with GGA+U.

```
data_KV6O11
_cell_length_a 5.8875
_cell_length_b 5.8875
_cell_length_c 13.6191
_cell_angle_alpha 90.00
_cell_angle_beta 90.00
_cell_angle_gamma 120.00
_space_group_name_H-M_alt 'P 63/m m c'
_space_group_IT_number 194
_space_group_name_Hall '-P 6c 2c'
loop_
_atom_site_label
_atom_site_type_symbol
_atom_site_fract_x
_atom_site_fract_y
_atom_site_fract_z
K1 K 0.3333 0.6667 0.2500
V1 V 0.0000 0.0000 0.1490
V2 V 0.0000 0.5000 0.0000
V3 V 0.3333 0.6667 0.7500
O1 O 0.1477 0.2954 0.7500
O2 O 0.1737 0.3475 0.0741
O3 O 0.3333 0.6667 0.5830
```

Most intense lines, 2θ from 10° to 80°, by intensity:
2θ (°), d (Å), intensity
31.6, 2.831, 100
54.1, 1.695, 95
33.2, 2.702, 89
63.2, 1.472, 56
37.7, 2.388, 56
54.7, 1.677, 49
40.6, 2.224, 46
30.4, 2.944, 36
26.2, 3.405, 30
21.8, 4.081, 29
13.0, 6.810, 21
35.2, 2.549, 20



Entry 3:
This entry pairs a crystal structure of K3VO8 with its simulated powder XRD pattern. Radiation: Cu Kα (weighted mean of Kα1 and Kα2). Structure: a cell relaxed with GGA+U.

```
data_K3VO8
_cell_length_a 6.8103
_cell_length_b 6.8103
_cell_length_c 7.7947
_cell_angle_alpha 90.00
_cell_angle_beta 90.00
_cell_angle_gamma 90.00
_space_group_name_H-M_alt 'I -4 2 m'
_space_group_IT_number 121
_space_group_name_Hall 'I -4 2'
loop_
_atom_site_label
_atom_site_type_symbol
_atom_site_fract_x
_atom_site_fract_y
_atom_site_fract_z
K1 K 0.0000 0.0000 0.0000
K2 K 0.0000 0.5000 0.2500
V1 V 0.0000 0.0000 0.5000
O1 O 0.1350 0.1350 0.6834
O2 O 0.2049 0.2049 0.5155
```

Most intense lines, 2θ from 10° to 80°, by intensity:
2θ (°), d (Å), intensity
29.5, 3.030, 100
48.3, 1.885, 55
37.3, 2.408, 46
17.3, 5.129, 34
26.2, 3.405, 29
61.2, 1.515, 18
31.5, 2.837, 16
75.2, 1.263, 15
18.4, 4.816, 13
46.6, 1.949, 12
62.6, 1.484, 11
60.8, 1.523, 10



Entry 4:
This entry pairs a crystal structure of KV4O8 with its simulated powder XRD pattern. Radiation: Cu Kα (weighted mean of Kα1 and Kα2). Structure: a cell relaxed with GGA+U.

```
data_KV4O8
_cell_length_a 10.2344
_cell_length_b 10.2344
_cell_length_c 2.9208
_cell_angle_alpha 90.00
_cell_angle_beta 90.00
_cell_angle_gamma 90.00
_space_group_name_H-M_alt 'I 4/m'
_space_group_IT_number 87
_space_group_name_Hall '-I 4'
loop_
_atom_site_label
_atom_site_type_symbol
_atom_site_fract_x
_atom_site_fract_y
_atom_site_fract_z
K1 K 0.0000 0.0000 0.0000
V1 V 0.1488 0.6678 0.0000
O1 O 0.0398 0.3348 0.0000
O2 O 0.1548 0.7997 0.5000
```

Most intense lines, 2θ from 10° to 80°, by intensity:
2θ (°), d (Å), intensity
27.6, 3.236, 100
36.5, 2.462, 61
57.9, 1.593, 41
40.7, 2.219, 39
48.1, 1.891, 37
17.3, 5.117, 35
66.7, 1.402, 31
12.2, 7.237, 28
53.7, 1.706, 26
39.4, 2.288, 14
35.1, 2.559, 13
24.6, 3.618, 12



Entry 5:
This entry pairs a crystal structure of KV3O7 with its simulated powder XRD pattern. Radiation: Cu Kα (weighted mean of Kα1 and Kα2). Structure: a cell relaxed with GGA+U.

```
data_KV3O7
_cell_length_a 16.4794
_cell_length_b 3.7923
_cell_length_c 12.3399
_cell_angle_alpha 90.00
_cell_angle_beta 127.82
_cell_angle_gamma 90.00
_space_group_name_H-M_alt 'C 1 2/m 1'
_space_group_IT_number 12
loop_
_space_group_symop_operation_xyz
'x,y,z'
'-x,-y,-z'
'-x,y,-z'
'x,-y,z'
'x+1/2,y+1/2,z'
'-x+1/2,-y+1/2,-z'
'-x+1/2,y+1/2,-z'
'x+1/2,-y+1/2,z'
loop_
_atom_site_label
_atom_site_type_symbol
_atom_site_fract_x
_atom_site_fract_y
_atom_site_fract_z
K1 K 0.1683 0.0000 0.0817
V1 V 0.0572 0.5000 0.2702
V2 V 0.0575 0.0000 0.6729
V3 V 0.2079 0.0000 0.5525
O1 O 0.0249 0.5000 0.6609
O2 O 0.0295 0.5000 0.8993
O3 O 0.0694 0.0000 0.3298
O4 O 0.1015 0.0000 0.5743
O5 O 0.1642 0.0000 0.8331
O6 O 0.1853 0.5000 0.2767
O7 O 0.1994 0.5000 0.5028
```

Most intense lines, 2θ from 10° to 80°, by intensity:
2θ (°), d (Å), intensity
28.8, 3.097, 100
28.0, 3.191, 72
48.0, 1.896, 51
14.6, 6.081, 50
24.6, 3.620, 49
32.7, 2.740, 41
32.3, 2.769, 38
31.3, 2.855, 37
45.7, 1.983, 36
37.8, 2.382, 30
29.4, 3.040, 23
21.8, 4.071, 22



Entry 6:
This entry pairs a crystal structure of KV6O11 with its simulated powder XRD pattern. Radiation: Cu Kα (weighted mean of Kα1 and Kα2). Structure: a cell relaxed with GGA+U.

```
data_KV6O11
_cell_length_a 5.9274
_cell_length_b 5.9274
_cell_length_c 13.3876
_cell_angle_alpha 90.00
_cell_angle_beta 90.00
_cell_angle_gamma 120.00
_space_group_name_H-M_alt 'P 63 m c'
_space_group_IT_number 186
_space_group_name_Hall 'P 6c -2c'
loop_
_atom_site_label
_atom_site_type_symbol
_atom_site_fract_x
_atom_site_fract_y
_atom_site_fract_z
K1 K 0.3333 0.6667 0.0000
V1 V 0.0000 0.0000 0.1066
V2 V 0.0000 0.0000 0.3975
V3 V 0.0008 0.5004 0.2523
V4 V 0.3333 0.6667 0.5053
O1 O 0.1519 0.3038 0.5023
O2 O 0.1721 0.3443 0.8283
O3 O 0.1729 0.3457 0.1748
O4 O 0.3333 0.6667 0.3396
O5 O 0.3333 0.6667 0.6640
```

Most intense lines, 2θ from 10° to 80°, by intensity:
2θ (°), d (Å), intensity
31.9, 2.804, 100
54.5, 1.684, 85
33.1, 2.710, 81
37.5, 2.396, 59
62.7, 1.482, 54
54.7, 1.679, 48
40.5, 2.225, 38
30.2, 2.964, 35
26.6, 3.347, 23
21.8, 4.073, 21
35.0, 2.567, 19
13.2, 6.694, 19